This entry pairs a crystal structure of CdBiPtO4 with its calculated X-ray diffraction stick pattern. Radiation: copper Kα. Structure: a crystal structure in Alexandria, relaxed with GGA-PBE.
Peak positions follow from Bragg's law for the DFT cell and can differ from measured ones.

Peak list (8 most intense, 10° ≤ 2θ ≤ 90°, in order of rising 2θ)
| two_theta | intensity | h k l |
| --- | --- | --- |
| 16.6 | 68.9 | 1 0 1 |
| 30.2 | 100.0 | 1 0 3 |
| 30.9 | 96.2 | 0 2 2 |
| 32.2 | 63.0 | 2 1 1 |
| 35.8 | 31.8 | 0 0 4 |
| 38.1 | 30.2 | 2 2 0 |
| 41.3 | 31.6 | 2 1 3 |
| 53.3 | 30.1 | 2 2 4 |

a b c (Å): 6.336 7.092 10.024
angles (deg): 90.00 90.00 90.00
Space group Imma (No. 74)
One atom of each set of equivalent atoms:
Cd1 0.000 0.250 0.198 x4
Bi1 0.000 0.000 0.500 x4
Pt1 0.250 0.250 0.750 x4
O1 0.000 0.074 0.728 x8
O2 0.210 0.250 0.423 x8